1.
Calculated X-ray powder pattern of ScTaSi2 for copper Kα, from a cell relaxed with PBE.
No peak broadening, texture or thermal motion is included.

Top 8 peaks for 2θ from 15° to 90°, sorted by position:
- 2θ 18.35, rel. 46
- 2θ 24.11, rel. 25
- 2θ 26.20, rel. 42
- 2θ 30.47, rel. 46
- 2θ 35.90, rel. 100
- 2θ 37.26, rel. 68
- 2θ 44.87, rel. 62
- 2θ 63.45, rel. 28

a = 3.6911 Å, b = 3.6341 Å, c = 9.6697 Å
α = 90.00°, β = 90.00°, γ = 90.00°
Atoms (fractional coordinates):
Sc 0.0000 0.0000 0.0000
Sc 0.0000 0.5000 0.5000
Ta 0.5000 0.0000 0.2920
Ta 0.5000 0.5000 0.7920
Si 0.0000 0.0000 0.7265
Si 0.0000 0.5000 0.2265
Si 0.5000 0.0000 0.5680
Si 0.5000 0.5000 0.0680

2.
Calculated X-ray powder pattern of HfTlInF6 for copper Kα, from a cell relaxed with PBE.
No peak broadening, texture or thermal motion is included.

Top 8 peaks for 2θ from 15° to 90°, sorted by position:
- 2θ 22.20, rel. 96
- 2θ 26.90, rel. 100
- 2θ 31.60, rel. 25
- 2θ 41.97, rel. 72
- 2θ 45.30, rel. 17
- 2θ 50.12, rel. 19
- 2θ 53.47, rel. 20
- 2θ 63.46, rel. 18

a = 5.6623 Å, b = 5.6623 Å, c = 12.2608 Å
α = 90.00°, β = 90.00°, γ = 90.00°
Atoms (fractional coordinates):
Hf 0.0000 0.0000 0.0000
Hf 0.5000 0.5000 0.5000
Tl 0.0000 0.0000 0.6685
Tl 0.5000 0.5000 0.1685
In 0.0000 0.0000 0.3464
In 0.5000 0.5000 0.8464
F 0.1733 0.1733 0.1177
F 0.1741 0.1741 0.8804
F 0.2472 0.2472 0.4973
F 0.2528 0.7472 0.9973
F 0.3259 0.6741 0.3804
F 0.3267 0.6733 0.6177
F 0.6733 0.3267 0.6177
F 0.6741 0.3259 0.3804
F 0.7472 0.2528 0.9973
F 0.7528 0.7528 0.4973
F 0.8259 0.8259 0.8804
F 0.8267 0.8267 0.1177

3.
Calculated X-ray powder pattern of LuNbRu2 for copper Kα, from a cell relaxed with PBE.
No peak broadening, texture or thermal motion is included.

Top 8 peaks for 2θ from 15° to 90°, sorted by position:
- 2θ 23.78, rel. 6
- 2θ 27.53, rel. 2
- 2θ 39.32, rel. 100
- 2θ 46.47, rel. 3
- 2θ 56.83, rel. 17
- 2θ 62.47, rel. 1
- 2θ 71.29, rel. 34
- 2θ 84.59, rel. 11

a = 6.4806 Å, b = 6.4806 Å, c = 6.4806 Å
α = 90.00°, β = 90.00°, γ = 90.00°
Atoms (fractional coordinates):
Lu 0.0000 0.0000 0.0000
Lu 0.0000 0.5000 0.5000
Lu 0.5000 0.0000 0.5000
Lu 0.5000 0.5000 0.0000
Nb 0.0000 0.0000 0.5000
Nb 0.0000 0.5000 0.0000
Nb 0.5000 0.0000 0.0000
Nb 0.5000 0.5000 0.5000
Ru 0.2500 0.2500 0.2500
Ru 0.2500 0.2500 0.7500
Ru 0.2500 0.7500 0.2500
Ru 0.2500 0.7500 0.7500
Ru 0.7500 0.2500 0.2500
Ru 0.7500 0.2500 0.7500
Ru 0.7500 0.7500 0.2500
Ru 0.7500 0.7500 0.7500

4.
Calculated X-ray powder pattern of CsPb3 for copper Kα, from a cell relaxed with PBE.
No peak broadening, texture or thermal motion is included.

Top 8 peaks for 2θ from 15° to 90°, sorted by position:
- 2θ 26.09, rel. 41
- 2θ 27.19, rel. 50
- 2θ 27.80, rel. 34
- 2θ 30.94, rel. 52
- 2θ 31.89, rel. 100
- 2θ 37.55, rel. 31
- 2θ 42.07, rel. 23
- 2θ 55.64, rel. 21

a = 7.0134 Å, b = 15.9302 Å, c = 5.7805 Å
α = 90.00°, β = 90.00°, γ = 90.00°
Atoms (fractional coordinates):
Cs 0.0000 0.2028 0.2500
Cs 0.0000 0.7972 0.7500
Cs 0.5000 0.2972 0.7500
Cs 0.5000 0.7028 0.2500
Pb 0.0000 0.3922 0.7500
Pb 0.0000 0.6078 0.2500
Pb 0.2489 0.0563 0.7500
Pb 0.2489 0.9437 0.2500
Pb 0.2511 0.4437 0.2500
Pb 0.2511 0.5563 0.7500
Pb 0.5000 0.1078 0.2500
Pb 0.5000 0.8922 0.7500
Pb 0.7489 0.4437 0.2500
Pb 0.7489 0.5563 0.7500
Pb 0.7511 0.0563 0.7500
Pb 0.7511 0.9437 0.2500

5.
Calculated X-ray powder pattern of Cu7As6Pb2O24 for copper Kα, from a cell relaxed with PBE.
No peak broadening, texture or thermal motion is included.

Top 8 peaks for 2θ from 15° to 90°, sorted by position:
- 2θ 26.23, rel. 56
- 2θ 27.82, rel. 62
- 2θ 29.07, rel. 31
- 2θ 30.52, rel. 100
- 2θ 30.95, rel. 48
- 2θ 31.33, rel. 31
- 2θ 33.20, rel. 32
- 2θ 34.23, rel. 52

a = 5.2493 Å, b = 8.5088 Å, c = 11.4357 Å
α = 90.72°, β = 90.62°, γ = 93.40°
Atoms (fractional coordinates):
Cu 0.0000 0.0000 0.0000
Cu 0.0000 0.5000 0.5000
Cu 0.4637 0.4193 0.3201
Cu 0.4855 0.7760 0.1664
Cu 0.5000 0.5000 0.0000
Cu 0.5145 0.2240 0.8336
Cu 0.5363 0.5807 0.6799
As 0.0138 0.4164 0.7777
As 0.4636 0.7705 0.4485
As 0.4750 0.8388 0.8864
As 0.5250 0.1612 0.1136
As 0.5364 0.2295 0.5515
As 0.9862 0.5836 0.2223
Pb 0.0017 0.9630 0.6700
Pb 0.9983 0.0370 0.3300
O 0.1296 0.7735 0.2277
O 0.1736 0.4764 0.6486
O 0.2049 0.1058 0.1232
O 0.2124 0.4548 0.1854
O 0.2270 0.8916 0.4854
O 0.2622 0.3991 0.8771
O 0.3028 0.0074 0.8982
O 0.3132 0.5818 0.4189
O 0.3164 0.2506 0.4420
O 0.3703 0.7499 0.7581
O 0.3808 0.7166 0.0023
O 0.3863 0.1617 0.6777
O 0.6137 0.8383 0.3223
O 0.6192 0.2834 0.9977
O 0.6297 0.2501 0.2419
O 0.6836 0.7494 0.5580
O 0.6868 0.4182 0.5811
O 0.6972 0.9926 0.1018
O 0.7378 0.6009 0.1229
O 0.7730 0.1084 0.5146
O 0.7876 0.5452 0.8146
O 0.7951 0.8942 0.8768
O 0.8264 0.5236 0.3514
O 0.8704 0.2265 0.7723

6.
Calculated X-ray powder pattern of MnAgPd5 for copper Kα, from a cell relaxed with PBE.
No peak broadening, texture or thermal motion is included.

Top 8 peaks for 2θ from 15° to 90°, sorted by position:
- 2θ 27.77, rel. 28
- 2θ 40.48, rel. 100
- 2θ 41.11, rel. 91
- 2θ 41.89, rel. 62
- 2θ 44.41, rel. 35
- 2θ 62.69, rel. 32
- 2θ 76.39, rel. 23
- 2θ 82.80, rel. 15

a = 4.9209 Å, b = 4.9209 Å, c = 10.4212 Å
α = 90.00°, β = 90.00°, γ = 67.98°
Atoms (fractional coordinates):
Mn 0.0000 0.0000 0.0000
Mn 0.0000 0.0000 0.5000
Ag 0.3690 0.6310 0.7500
Ag 0.6310 0.3690 0.2500
Pd 0.1122 0.8878 0.2500
Pd 0.1335 0.4033 0.1140
Pd 0.1335 0.4033 0.3860
Pd 0.4033 0.1335 0.6140
Pd 0.4033 0.1335 0.8860
Pd 0.5967 0.8665 0.1140
Pd 0.5967 0.8665 0.3860
Pd 0.8665 0.5967 0.6140
Pd 0.8665 0.5967 0.8860
Pd 0.8878 0.1122 0.7500

7.
Calculated X-ray powder pattern of La4NpCo5 for copper Kα, from a cell relaxed with PBE.
No peak broadening, texture or thermal motion is included.

Top 8 peaks for 2θ from 15° to 90°, sorted by position:
- 2θ 27.69, rel. 89
- 2θ 28.40, rel. 53
- 2θ 28.56, rel. 77
- 2θ 34.23, rel. 63
- 2θ 36.49, rel. 95
- 2θ 39.84, rel. 57
- 2θ 40.85, rel. 100
- 2θ 54.68, rel. 53

a = 4.9327 Å, b = 6.9803 Å, c = 6.9866 Å
α = 83.29°, β = 71.65°, γ = 71.70°
Atoms (fractional coordinates):
La 0.0000 0.0000 0.0000
La 0.0001 0.4313 0.5687
La 0.2892 0.4437 0.0123
La 0.6591 0.0170 0.5857
Np 0.5703 0.7010 0.2704
Co 0.0362 0.7578 0.3265
Co 0.2965 0.7314 0.6107
Co 0.2976 0.0418 0.2995
Co 0.7014 0.3581 0.2731
Co 0.7010 0.7048 0.9276